[1]
Cd2Os: computed PXRD pattern (copper Kα), based on DFT lattice parameters and positions (PBE).
Intensities are scaled so that the largest is 100.

Top 10 peaks for 10° ≤ 2θ ≤ 80°, in order of falling intensity:
hkl 1 1 3, d 2.329, rel. 100; hkl 2 1 0, d 2.406, rel. 71; hkl 2 1 2, d 2.141, rel. 70; hkl 0 2 0, d 2.193, rel. 67; hkl 0 1 3, d 2.545, rel. 53; hkl 1 0 3, d 2.747, rel. 48; hkl 0 0 2, d 4.687, rel. 45; hkl 2 0 2, d 2.453, rel. 43; hkl 3 1 5, d 1.282, rel. 42; hkl 1 0 1, d 4.905, rel. 32

Structure:
abc: 5.7559 4.3867 9.3745
angles: 90.00 90.00 90.00
Space group Pnma (No. 62)
One atom of each set of equivalent atoms:
Cd: 0.0838 0.2500 0.0919 [4 per cell]
Cd: 0.2447 0.7500 0.2848 [4 per cell]
Os: 0.0933 0.2500 0.4986 [4 per cell]

---

[2]
AcHoNbO6: computed PXRD pattern (copper Kα), based on DFT lattice parameters and positions (PBE).
Intensities are scaled so that the largest is 100.

Top 10 peaks for 10° ≤ 2θ ≤ 80°, in order of falling intensity:
hkl 1 1 0, d 3.663, rel. 100; hkl 1 0 3, d 2.907, rel. 91; hkl 2 1 3, d 1.934, rel. 70; hkl 2 0 0, d 2.590, rel. 27; hkl 3 0 3, d 1.549, rel. 20; hkl 1 1 6, d 1.583, rel. 18; hkl 3 1 0, d 1.638, rel. 18; hkl 2 2 0, d 1.831, rel. 17; hkl 3 2 3, d 1.330, rel. 17; hkl 1 0 1, d 4.648, rel. 12

Structure:
abc: 5.1796 5.1796 10.5347
angles: 90.00 90.00 90.00
Space group P4_2nm (No. 102)
One atom of each set of equivalent atoms:
Ac: 0.0000 0.0000 0.0000 [2 per cell]
Ho: 0.0000 0.0000 0.3334 [2 per cell]
Nb: 0.0000 0.0000 0.6664 [2 per cell]
O: 0.1719 0.1719 0.5120 [4 per cell]
O: 0.1942 0.1942 0.8003 [4 per cell]
O: 0.2246 0.2246 0.1823 [4 per cell]

---

[3]
ThGe2Rh8: computed PXRD pattern (copper Kα), based on DFT lattice parameters and positions (PBE).
Intensities are scaled so that the largest is 100.

Top 10 peaks for 10° ≤ 2θ ≤ 80°, in order of falling intensity:
hkl 2 0 2, d 2.044, rel. 100; hkl 2 2 0, d 2.072, rel. 49; hkl 1 1 1, d 3.354, rel. 39; hkl 1 0 1, d 4.089, rel. 23; hkl 2 0 0, d 2.931, rel. 19; hkl 2 1 0, d 2.621, rel. 17; hkl 1 0 2, d 2.566, rel. 16; hkl 4 0 0, d 1.465, rel. 14; hkl 3 2 2, d 1.413, rel. 14; hkl 3 1 1, d 1.763, rel. 13

Structure:
abc: 5.8613 5.8613 5.7072
angles: 90.00 90.00 90.00
Space group P4/mmm (No. 123)
One atom of each set of equivalent atoms:
Th: 0.0000 0.0000 0.0000 [1 per cell]
Ge: 0.0000 0.5000 0.5000 [2 per cell]
Rh: 0.2727 0.2727 0.2509 [8 per cell]

---

[4]
CaHg6Pd2: computed PXRD pattern (copper Kα), based on DFT lattice parameters and positions (PBE).
Intensities are scaled so that the largest is 100.

Top 10 peaks for 10° ≤ 2θ ≤ 80°, in order of falling intensity:
hkl 1 3 3, d 2.567, rel. 100; hkl 2 0 0, d 2.343, rel. 24; hkl 0 0 6, d 2.449, rel. 19; hkl 1 1 3, d 3.255, rel. 19; hkl 3 3 3, d 1.392, rel. 15; hkl 2 0 6, d 1.693, rel. 13; hkl 0 6 0, d 1.967, rel. 8; hkl 1 3 9, d 1.436, rel. 8; hkl 1 5 1, d 2.087, rel. 7; hkl 0 4 0, d 2.951, rel. 7

Structure:
abc: 4.6868 11.8035 14.6960
angles: 90.00 90.00 90.00
Space group Fmmm (No. 69)
One atom of each set of equivalent atoms:
Ca: 0.0000 0.0000 0.0000 [4 per cell]
Hg: 0.0000 0.1422 0.1824 [16 per cell]
Hg: 0.0000 0.1754 0.5000 [8 per cell]
Pd: 0.0000 0.0000 0.3587 [8 per cell]

---

- Which formula does entry 2 have?
  AcHoNbO6